Record 1
Structure and theoretical powder XRD pattern of Li4Mn3O7 (a structure optimized by DFT (GGA+U); Cu Kα (weighted mean of Kα1 and Kα2)).
Kinematic intensities with the Lorentz-polarization factor, no thermal factor.

Atomic structure:
```
data_Li4Mn3O7
_cell_length_a 30.9867
_cell_length_b 2.8799
_cell_length_c 5.8591
_cell_angle_alpha 90.00
_cell_angle_beta 94.64
_cell_angle_gamma 90.00
_symmetry_space_group_name_H-M 'C 1 2/m 1'
_symmetry_Int_Tables_number 12
loop_
_symmetry_equiv_pos_as_xyz
'x,y,z'
'-x,-y,-z'
'-x,y,-z'
'x,-y,z'
'x+1/2,y+1/2,z'
'-x+1/2,-y+1/2,-z'
'-x+1/2,y+1/2,-z'
'x+1/2,-y+1/2,z'
loop_
_atom_site_label
_atom_site_fract_x
_atom_site_fract_y
_atom_site_fract_z
Li1 0.0000 0.0000 0.0000
Li2 0.0000 0.0000 0.5000
Li3 0.0645 0.5000 0.2886
Li4 0.1388 0.0000 0.5687
Li5 0.2149 0.5000 0.8571
Mn1 0.0650 0.5000 0.7784
Mn2 0.1388 0.0000 0.0681
Mn3 0.2129 0.5000 0.3556
O1 0.0066 0.5000 0.7502
O2 0.0681 0.0000 0.0089
O3 0.0709 0.0000 0.5602
O4 0.1365 0.5000 0.8377
O5 0.1401 0.5000 0.2959
O6 0.2121 0.0000 0.5842
O7 0.2146 0.0000 0.1265
```

Peak list (8 most intense, 2θ from 10° to 90°, in order of rising 2θ)
Position (°2θ)  I/Imax
18.29  100
33.91  17
36.16  23
40.91  32
44.10  57
58.14  9
61.38  15
62.04  15

---

Record 2
Structure and theoretical powder XRD pattern of LiMn3O6 (a structure optimized by DFT (GGA+U); Cu Kα (weighted mean of Kα1 and Kα2)).
Kinematic intensities with the Lorentz-polarization factor, no thermal factor.

Atomic structure:
```
data_LiMn3O6
_cell_length_a 5.7202
_cell_length_b 6.6801
_cell_length_c 12.6639
_cell_angle_alpha 97.97
_cell_angle_beta 90.03
_cell_angle_gamma 115.31
_symmetry_space_group_name_H-M 'P 1'
_symmetry_Int_Tables_number 1
loop_
_symmetry_equiv_pos_as_xyz
'x,y,z'
loop_
_atom_site_label
_atom_site_fract_x
_atom_site_fract_y
_atom_site_fract_z
Li1 0.0000 0.0000 0.0000
Li2 0.0069 0.5005 0.5009
Li3 0.1663 0.8187 0.1839
Li4 0.6528 0.3203 0.6839
Mn1 0.0797 0.1565 0.3406
Mn2 0.0844 0.6599 0.8417
Mn3 0.2522 0.4968 0.0092
Mn4 0.2516 0.9953 0.5077
Mn5 0.4147 0.8218 0.6743
Mn6 0.4212 0.3392 0.1786
Mn7 0.5818 0.1609 0.3431
Mn8 0.5819 0.6581 0.8416
Mn9 0.7432 0.4768 0.0045
Mn10 0.7446 0.9791 0.5053
Mn11 0.9118 0.3220 0.1756
Mn12 0.9247 0.8408 0.6788
O1 0.0510 0.6141 0.6852
O2 0.0672 0.1129 0.1844
O3 0.0961 0.1997 0.4943
O4 0.0965 0.7042 0.9984
O5 0.2279 0.9494 0.3514
O6 0.2305 0.4548 0.8563
O7 0.2629 0.5422 0.1638
O8 0.2846 0.0426 0.6624
O9 0.3834 0.7758 0.5200
O10 0.3852 0.2805 0.0234
O11 0.4338 0.3671 0.3312
O12 0.4361 0.8632 0.8272
O13 0.5518 0.1182 0.1892
O14 0.5718 0.6183 0.6876
O15 0.6130 0.6986 0.9951
O16 0.6160 0.2050 0.4992
O17 0.7265 0.9507 0.3528
O18 0.7283 0.4469 0.8486
O19 0.7637 0.0375 0.6600
O20 0.7780 0.5373 0.1594
O21 0.9015 0.2753 0.0212
O22 0.9034 0.7804 0.5237
O23 0.9366 0.3680 0.3317
O24 0.9382 0.8711 0.8348
```

Peak list (8 most intense, 2θ from 10° to 90°, in order of rising 2θ)
Position (°2θ)  I/Imax
17.42  100
36.78  26
43.39  15
43.67  29
55.91  5
56.34  9
61.15  7
65.29  11